No. 1
SbS3: computed X-ray diffraction stick pattern (Cu Kα (λ = 1.5418 Å)), based on a DFT-relaxed cell (GGA-PBE, Alexandria).
Peak positions follow from Bragg's law for the DFT cell and can differ from measured ones.

Main lines, low angle first (5 to 70 degrees two-theta):
- 15.43 deg, intensity 100.0, (1 0 0)
- 15.61 deg, intensity 88.9, (0 1 0)
- 17.83 deg, intensity 37.7, (1 0 1)
- 27.95 deg, intensity 30.7, (1 0 -2)
- 31.86 deg, intensity 24.0, (2 0 1)
- 32.20 deg, intensity 16.2, (1 -1 2)
- 33.96 deg, intensity 24.0, (1 1 -2)
- 34.74 deg, intensity 24.2, (0 2 2)

Structural model:
Cell lengths 5.7872, 5.7944, 8.4749 Å; angles 78.60, 83.25, 86.74 degrees
Positions (direct):
Sb  0.1139  0.3869  0.3245
Sb  0.8861  0.6131  0.6755
S  0.1277  0.7658  0.4104
S  0.1906  0.7193  0.9914
S  0.2179  0.4799  0.8547
S  0.7821  0.5201  0.1453
S  0.8094  0.2807  0.0086
S  0.8723  0.2342  0.5896


No. 2
V2Ga5: computed X-ray diffraction stick pattern (Cu Kα (λ = 1.5418 Å)), based on a DFT-relaxed cell (GGA-PBE, Alexandria).
Peak positions follow from Bragg's law for the DFT cell and can differ from measured ones.

Main lines, low angle first (5 to 70 degrees two-theta):
- 31.48 deg, intensity 36.6, (3 1 0)
- 33.48 deg, intensity 41.6, (0 0 1)
- 36.04 deg, intensity 28.2, (3 2 0)
- 40.50 deg, intensity 53.5, (2 1 1)
- 41.43 deg, intensity 100.0, (4 1 0)
- 42.69 deg, intensity 37.7, (3 3 0)
- 46.62 deg, intensity 71.4, (3 1 1)
- 50.01 deg, intensity 36.8, (3 2 1)

Structural model:
Cell lengths 8.9855, 8.9855, 2.6762 Å; angles 90.00, 90.00, 90.00 degrees
Positions (direct):
V  0.1796  0.3204  0.0000
V  0.3204  0.8204  0.0000
V  0.6796  0.1796  0.0000
V  0.8204  0.6796  0.0000
Ga  0.0000  0.5000  0.5000
Ga  0.0615  0.7936  0.5000
Ga  0.2064  0.0615  0.5000
Ga  0.2936  0.5615  0.5000
Ga  0.4385  0.2936  0.5000
Ga  0.5000  0.0000  0.5000
Ga  0.5615  0.7064  0.5000
Ga  0.7064  0.4385  0.5000
Ga  0.7936  0.9385  0.5000
Ga  0.9385  0.2064  0.5000


No. 3
Pm4RhSe2S: computed X-ray diffraction stick pattern (Cu Kα (λ = 1.5418 Å)), based on a DFT-relaxed cell (GGA-PBE, Alexandria).
Peak positions follow from Bragg's law for the DFT cell and can differ from measured ones.

Main lines, low angle first (5 to 70 degrees two-theta):
- 26.51 deg, intensity 15.0, (1 1 -1)
- 30.21 deg, intensity 51.6, (2 0 -2)
- 30.44 deg, intensity 100.0, (1 1 1)
- 42.83 deg, intensity 18.3, (2 0 2)
- 43.27 deg, intensity 36.6, (1 1 -3)
- 43.56 deg, intensity 37.7, (3 1 -1)
- 44.34 deg, intensity 18.0, (0 2 0)
- 54.59 deg, intensity 19.2, (2 2 -2)

Structural model:
Cell lengths 7.2384, 4.0856, 7.3012 Å; angles 90.00, 108.98, 90.00 degrees
Positions (direct):
Pm  0.2370  0.0000  0.2290
Pm  0.2545  0.5000  0.7645
Pm  0.7455  0.5000  0.2355
Pm  0.7630  0.0000  0.7710
Rh  0.0000  0.5000  0.0000
Se  0.0000  0.0000  0.5000
Se  0.5000  0.5000  0.5000
S  0.5000  0.0000  0.0000


What is the formula in the third record?
Pm4RhSe2S